This entry pairs a crystal structure of Cs3Te2PbO8 with its simulated XRD peak list. Radiation: Cu Kα X-rays. Structure: the PBE geometry in Alexandria.
Neutral-atom scattering factors, no anomalous dispersion.

Atomic structure:
```
data_Cs3Te2PbO8
_chemical_formula_sum 'Cs3 Te2 Pb1 O8'
_cell_length_a 6.6304
_cell_length_b 6.6304
_cell_length_c 8.5525
_cell_angle_alpha 90.00
_cell_angle_beta 90.00
_cell_angle_gamma 120.00
_symmetry_space_group_name_H-M 'P -3 m 1'
_symmetry_Int_Tables_number 164
_symmetry_space_group_name_Hall '-P 3 2"'
loop_
_atom_site_label
_atom_site_type_symbol
_atom_site_fract_x
_atom_site_fract_y
_atom_site_fract_z
Cs1 Cs 0.0000 0.0000 0.0000
Cs2 Cs 0.3333 0.6667 0.6949
Te1 Te 0.3333 0.6667 0.2466
Pb1 Pb 0.0000 0.0000 0.5000
O1 O 0.1763 0.3527 0.3213
O2 O 0.3333 0.6667 0.0298
```

Peak list (12 most intense, 2θ from 15° to 90°, most intense first)
2theta, I_rel, h k l
26.89, 100, 1 1 0
25.98, 93, 0 1 2
37.74, 44, 2 0 2
46.95, 37, 1 2 2
50.81, 21, 1 1 4
47.50, 21, 3 0 0
55.43, 17, 2 2 0
62.20, 17, 3 1 2
75.94, 11, 4 1 0
65.45, 10, 3 0 4
75.52, 10, 2 3 2
72.10, 8, 2 2 4